Diffraction record for Tb3BWO9. The powder diffractogram is simulated, not measured: it uses DFT lattice parameters and positions (GGA+U) and Cu Ka.
Lines closer than 0.1° are merged.

a b c (Å): 8.6300 8.6300 5.4246
angles (deg): 90.00 90.00 120.00
Space group P6_3 (No. 173)
Asymmetric unit:
Tb 0.0778 0.7207 0.0000 [6 per cell]
B 0.0000 0.0000 0.1816 [2 per cell]
W 0.3333 0.6667 0.5413 [2 per cell]
O 0.0647 0.8827 0.6733 [6 per cell]
O 0.1304 0.5201 0.7700 [6 per cell]
O 0.2034 0.4617 0.3332 [6 per cell]

Principal peaks in the range 10° ≤ 2θ ≤ 90°, by angle:
d_spacing	Rel. int.	index
3.377	100	1 1 1
3.077	95	2 0 1
2.491	27	3 0 0
1.956	26	1 2 2
1.835	32	3 0 2
1.635	36	3 2 1